For PtCl5, a structure optimized by DFT (GGA-PBE) gives the computed XRD peak list in this record (Cu Kα (weighted mean of Kα1 and Kα2)).

The 8 most intense peaks (2θ from 10° to 90°), by angle:
2θ/deg	d/Å	intensity	(hkl)
10.7	8.259	68.6	0 0 1
14.8	5.984	53.8	0 2 0
18.3	4.846	66.9	0 2 1
21.5	4.130	96.1	0 0 2
26.2	3.399	28.5	0 2 2
28.8	3.102	24.7	1 1 1
35.9	2.502	100.0	1 3 1
47.9	1.900	36.8	1 3 3

Crystal structure
Lattice parameters (Å, degrees): 3.4857 11.9689 8.2591 90.00 90.00 90.00
Space group Cmmm (No. 65)
Symmetry-distinct sites (fractional):
Pt  0.0000  0.0000  0.0000 [2 per cell]
Cl  0.0000  0.1667  0.5000 [4 per cell]
Cl  0.0000  0.3723  0.0000 [4 per cell]
Cl  0.0000  0.5000  0.5000 [2 per cell]

---

For Cs2RbGePt, a structure optimized by DFT (GGA-PBE) gives the computed XRD peak list in this record (Cu Kα (weighted mean of Kα1 and Kα2)).

The 8 most intense peaks (2θ from 10° to 90°), by angle:
2θ/deg	d/Å	intensity	(hkl)
12.5	7.102	41.7	1 0 0
22.4	3.976	28.4	1 0 1
25.1	3.551	100.0	2 0 0
25.7	3.469	27.3	1 1 1
31.3	2.855	24.9	2 0 1
35.8	2.511	39.5	2 2 0
45.6	1.988	39.5	2 0 2
52.8	1.735	25.7	2 2 2

Crystal structure
Lattice parameters (Å, degrees): 7.1025 7.1025 4.7985 90.00 90.00 90.00
Space group P4/mmm (No. 123)
Symmetry-distinct sites (fractional):
Cs  0.0000  0.5000  0.0000 [2 per cell]
Rb  0.0000  0.0000  0.5000 [1 per cell]
Ge  0.5000  0.5000  0.5000 [1 per cell]
Pt  0.5000  0.5000  0.0000 [1 per cell]